Starting from a structure optimized by DFT (GGA+U), the X-ray powder pattern of CaMgCoHNF was computed for Cu Kα.

Principal peaks in the range 2θ = 15–90°, sorted by position:
d = 3.357 Å, 2θ 26.55, I 100.0, (0 1 1); d = 2.707 Å, 2θ 33.09, I 91.8, (1 0 1); d = 2.666 Å, 2θ 33.62, I 73.8, (1 0 -2); d = 2.540 Å, 2θ 35.34, I 89.3, (0 1 2); d = 2.496 Å, 2θ 35.98, I 94.7, (1 1 0); d = 2.485 Å, 2θ 36.14, I 87.6, (1 1 -1); d = 2.116 Å, 2θ 42.73, I 42.2, (1 0 2); d = 2.083 Å, 2θ 43.44, I 48.0, (1 0 -3); d = 1.941 Å, 2θ 46.80, I 35.4, (0 1 3); d = 1.936 Å, 2θ 46.94, I 54.5, (0 2 0)

Atomic structure:
Unit cell a=3.354 b=3.871 c=6.912 alpha=90.00 beta=103.13 gamma=90.00
Space group Pm (No. 6)
One atom of each set of equivalent atoms:
Ca  0.000  0.000  0.000 x1
Mg  0.761  0.000  0.536 x1
Co  0.345  0.500  0.746 x1
H  0.360  0.500  0.994 x1
N  0.344  0.000  0.708 x1
F  0.635  0.000  0.252 x1